1.
This entry pairs a crystal structure of EuAsRu with its computed X-ray diffraction stick pattern. Radiation: CuKα. Structure: a DFT-relaxed cell (GGA-PBE, Alexandria).
Neutral-atom scattering factors, no anomalous dispersion.

```
data_EuAsRu
_chemical_formula_sum 'Eu1 As1 Ru1'
_cell_length_a 4.1890
_cell_length_b 4.1890
_cell_length_c 4.3718
_cell_angle_alpha 90.00
_cell_angle_beta 90.00
_cell_angle_gamma 120.00
_space_group_name_H-M_alt 'P -6 m 2'
_space_group_IT_number 187
_space_group_name_Hall 'P -6 2'
loop_
_atom_site_label
_atom_site_type_symbol
_atom_site_fract_x
_atom_site_fract_y
_atom_site_fract_z
Eu1 Eu 0.0000 0.0000 0.0000
As1 As 0.3333 0.6667 0.5000
Ru1 Ru 0.6667 0.3333 0.5000
```

Most intense lines, 10° ≤ 2θ ≤ 90°, by angle:
| 2θ (°) | I (rel.) | h k l |
| --- | --- | --- |
| 24.54 | 7 | 1 0 0 |
| 32.06 | 100 | 1 0 1 |
| 41.30 | 15 | 0 0 2 |
| 43.19 | 41 | 1 1 0 |
| 54.79 | 22 | 2 0 1 |
| 61.30 | 28 | 1 1 2 |
| 69.51 | 11 | 1 0 3 |
| 72.21 | 19 | 2 1 1 |
| 79.21 | 7 | 3 0 0 |
| 85.47 | 6 | 2 0 3 |

2.
This entry pairs a crystal structure of RbIn2Br2Cl with its computed X-ray diffraction stick pattern. Radiation: CuKα. Structure: a DFT-relaxed cell (GGA-PBE, Alexandria).
Neutral-atom scattering factors, no anomalous dispersion.

```
data_RbIn2Br2Cl
_chemical_formula_sum 'Rb2 In4 Br4 Cl2'
_cell_length_a 7.821
_cell_length_b 6.782
_cell_length_c 8.979
_cell_angle_alpha 90.00
_cell_angle_beta 90.25
_cell_angle_gamma 90.00
_space_group_name_H-M_alt 'P 1 21/m 1'
_space_group_IT_number 11
loop_
_space_group_symop_operation_xyz
'x,y,z'
'-x,-y,-z'
'-x,y+1/2,-z'
'x,-y+1/2,z'
loop_
_atom_site_label
_atom_site_type_symbol
_atom_site_fract_x
_atom_site_fract_y
_atom_site_fract_z
Rb1 Rb 0.233 0.250 0.058
In1 In 0.290 0.504 0.591
Br1 Br 0.004 0.750 0.318
Br2 Br 0.211 0.750 0.862
Cl1 Cl 0.487 0.250 0.781
```

Most intense lines, 10° ≤ 2θ ≤ 90°, by angle:
| 2θ (°) | I (rel.) | h k l |
| --- | --- | --- |
| 15.03 | 64 | 1 0 1 |
| 22.75 | 39 | 2 0 0 |
| 22.88 | 24 | 1 0 2 |
| 23.77 | 30 | 0 1 2 |
| 28.14 | 100 | 0 2 1 |
| 30.24 | 30 | 2 0 -2 |
| 35.08 | 43 | 1 2 2 |
| 36.46 | 65 | 2 2 -1 |
| 41.84 | 32 | 1 2 -3 |
| 54.05 | 22 | 0 4 0 |

3.
This entry pairs a crystal structure of BaZrIn4 with its computed X-ray diffraction stick pattern. Radiation: CuKα. Structure: a DFT-relaxed cell (GGA-PBE, Alexandria).
Neutral-atom scattering factors, no anomalous dispersion.

```
data_BaZrIn4
_chemical_formula_sum 'Ba4 Zr4 In16'
_cell_length_a 8.652
_cell_length_b 8.652
_cell_length_c 8.652
_cell_angle_alpha 90.00
_cell_angle_beta 90.00
_cell_angle_gamma 90.00
_space_group_name_H-M_alt 'F -4 3 m'
_space_group_IT_number 216
_space_group_name_Hall 'F -4 2 3'
loop_
_atom_site_label
_atom_site_type_symbol
_atom_site_fract_x
_atom_site_fract_y
_atom_site_fract_z
Ba1 Ba 0.000 0.000 0.000
Zr1 Zr 0.250 0.250 0.750
In1 In 0.124 0.124 0.376
```

Most intense lines, 10° ≤ 2θ ≤ 90°, by angle:
| 2θ (°) | I (rel.) | h k l |
| --- | --- | --- |
| 17.76 | 7 | 1 1 1 |
| 29.19 | 25 | 2 2 0 |
| 34.38 | 100 | 3 1 1 |
| 35.96 | 42 | 2 2 2 |
| 51.76 | 10 | 4 2 2 |
| 55.16 | 33 | 5 1 1 |
| 60.54 | 29 | 4 4 0 |
| 71.51 | 11 | 5 3 3 |
| 72.46 | 15 | 6 2 2 |
| 86.38 | 21 | 5 5 3 |

4.
This entry pairs a crystal structure of Ag5Pd3Au3 with its computed X-ray diffraction stick pattern. Radiation: CuKα. Structure: a DFT-relaxed cell (GGA-PBE, Alexandria).
Neutral-atom scattering factors, no anomalous dispersion.

```
data_Ag5Pd3Au3
_chemical_formula_sum 'Ag5 Pd3 Au3'
_cell_length_a 9.3067
_cell_length_b 9.3067
_cell_length_c 2.8166
_cell_angle_alpha 90.00
_cell_angle_beta 90.00
_cell_angle_gamma 120.00
_space_group_name_H-M_alt 'P -6 2 m'
_space_group_IT_number 189
_space_group_name_Hall 'P -6 -2'
loop_
_atom_site_label
_atom_site_type_symbol
_atom_site_fract_x
_atom_site_fract_y
_atom_site_fract_z
Ag1 Ag 0.0000 0.6653 0.0000
Ag2 Ag 0.3333 0.6667 0.0000
Pd1 Pd 0.0000 0.1645 0.0000
Au1 Au 0.0000 0.4110 0.5000
```

Most intense lines, 10° ≤ 2θ ≤ 90°, by angle:
| 2θ (°) | I (rel.) | h k l |
| --- | --- | --- |
| 22.06 | 25 | 2 0 0 |
| 29.32 | 30 | 2 1 0 |
| 33.35 | 62 | 3 0 0 |
| 37.32 | 91 | 1 1 1 |
| 39.02 | 38 | 2 0 1 |
| 40.35 | 100 | 3 1 0 |
| 43.77 | 56 | 2 1 1 |
| 50.91 | 47 | 2 2 1 |
| 59.83 | 30 | 3 2 1 |
| 80.63 | 27 | 3 1 2 |

5.
This entry pairs a crystal structure of Ce3Th4O14 with its computed X-ray diffraction stick pattern. Radiation: CuKα. Structure: a DFT-relaxed cell (GGA-PBE, Alexandria).
Neutral-atom scattering factors, no anomalous dispersion.

```
data_Ce3Th4O14
_chemical_formula_sum 'Ce6 Th8 O28'
_cell_length_a 12.415
_cell_length_b 5.556
_cell_length_c 8.787
_cell_angle_alpha 90.00
_cell_angle_beta 98.10
_cell_angle_gamma 90.00
_space_group_name_H-M_alt 'C 1 2/m 1'
_space_group_IT_number 12
loop_
_space_group_symop_operation_xyz
'x,y,z'
'-x,-y,-z'
'-x,y,-z'
'x,-y,z'
'x+1/2,y+1/2,z'
'-x+1/2,-y+1/2,-z'
'-x+1/2,y+1/2,-z'
'x+1/2,-y+1/2,z'
loop_
_atom_site_label
_atom_site_type_symbol
_atom_site_fract_x
_atom_site_fract_y
_atom_site_fract_z
Ce1 Ce 0.000 0.000 0.000
Ce2 Ce 0.071 0.500 0.715
Th1 Th 0.142 0.000 0.428
Th2 Th 0.214 0.500 0.142
O1 O 0.000 0.255 0.500
O2 O 0.069 0.250 0.213
O3 O 0.141 0.250 0.928
O4 O 0.213 0.252 0.644
```

Most intense lines, 10° ≤ 2θ ≤ 90°, by angle:
| 2θ (°) | I (rel.) | h k l |
| --- | --- | --- |
| 19.77 | 2 | 1 1 -1 |
| 27.82 | 100 | 1 1 2 |
| 32.23 | 34 | 4 0 1 |
| 46.22 | 52 | 4 2 1 |
| 54.81 | 47 | 7 1 0 |
| 57.46 | 10 | 2 2 4 |
| 67.43 | 8 | 8 0 2 |
| 74.44 | 19 | 7 3 0 |
| 76.72 | 14 | 8 2 2 |
| 85.66 | 17 | 6 2 5 |

6.
This entry pairs a crystal structure of Tl4Hg3Bi4 with its computed X-ray diffraction stick pattern. Radiation: CuKα. Structure: a DFT-relaxed cell (GGA-PBE, Alexandria).
Neutral-atom scattering factors, no anomalous dispersion.

```
data_Tl4Hg3Bi4
_chemical_formula_sum 'Tl8 Hg6 Bi8'
_cell_length_a 4.293
_cell_length_b 8.806
_cell_length_c 19.623
_cell_angle_alpha 90.00
_cell_angle_beta 90.00
_cell_angle_gamma 90.00
_space_group_name_H-M_alt 'I m m m'
_space_group_IT_number 71
_space_group_name_Hall '-I 2 2'
loop_
_atom_site_label
_atom_site_type_symbol
_atom_site_fract_x
_atom_site_fract_y
_atom_site_fract_z
Tl1 Tl 0.000 0.000 0.156
Tl2 Tl 0.000 0.226 0.500
Hg1 Hg 0.000 0.000 0.000
Hg2 Hg 0.000 0.500 0.089
Bi1 Bi 0.000 0.197 0.304
```

Most intense lines, 10° ≤ 2θ ≤ 90°, by angle:
| 2θ (°) | I (rel.) | h k l |
| --- | --- | --- |
| 27.23 | 37 | 0 0 6 |
| 29.42 | 100 | 1 2 1 |
| 30.86 | 46 | 1 0 5 |
| 33.53 | 23 | 0 1 7 |
| 36.00 | 40 | 1 1 6 |
| 37.14 | 31 | 1 2 5 |
| 38.29 | 34 | 0 3 5 |
| 42.10 | 26 | 2 0 0 |
| 50.89 | 18 | 2 0 6 |
| 58.21 | 18 | 2 3 5 |

7.
This entry pairs a crystal structure of Sr3Zn2Pt with its computed X-ray diffraction stick pattern. Radiation: CuKα. Structure: a DFT-relaxed cell (GGA-PBE, Alexandria).
Neutral-atom scattering factors, no anomalous dispersion.

```
data_Sr3Zn2Pt
_chemical_formula_sum 'Sr12 Zn8 Pt4'
_cell_length_a 12.804
_cell_length_b 4.468
_cell_length_c 12.997
_cell_angle_alpha 90.00
_cell_angle_beta 90.00
_cell_angle_gamma 90.00
_space_group_name_H-M_alt 'P n m a'
_space_group_IT_number 62
loop_
_space_group_symop_operation_xyz
'x,y,z'
'-x,-y,-z'
'-x+1/2,-y,z+1/2'
'x+1/2,y,-z+1/2'
'x+1/2,-y+1/2,-z+1/2'
'-x+1/2,y+1/2,z+1/2'
'-x,y+1/2,-z'
'x,-y+1/2,z'
loop_
_atom_site_label
_atom_site_type_symbol
_atom_site_fract_x
_atom_site_fract_y
_atom_site_fract_z
Sr1 Sr 0.057 0.250 0.128
Sr2 Sr 0.113 0.750 0.552
Sr3 Sr 0.219 0.250 0.795
Zn1 Zn 0.028 0.750 0.313
Zn2 Zn 0.207 0.750 0.987
Pt1 Pt 0.124 0.250 0.369
```

Most intense lines, 10° ≤ 2θ ≤ 90°, by angle:
| 2θ (°) | I (rel.) | h k l |
| --- | --- | --- |
| 15.29 | 52 | 1 0 2 |
| 15.43 | 56 | 2 0 1 |
| 28.71 | 100 | 0 1 3 |
| 32.11 | 69 | 3 1 2 |
| 35.17 | 54 | 4 1 1 |
| 35.73 | 38 | 5 0 1 |
| 36.98 | 57 | 2 1 4 |
| 37.34 | 33 | 2 0 5 |
| 40.36 | 52 | 0 2 0 |
| 45.90 | 30 | 5 1 3 |

8.
This entry pairs a crystal structure of TlIn2Pt with its computed X-ray diffraction stick pattern. Radiation: CuKα. Structure: a DFT-relaxed cell (GGA-PBE, Alexandria).
Neutral-atom scattering factors, no anomalous dispersion.

```
data_TlIn2Pt
_chemical_formula_sum 'Tl2 In4 Pt2'
_cell_length_a 3.748
_cell_length_b 5.614
_cell_length_c 9.380
_cell_angle_alpha 90.00
_cell_angle_beta 90.00
_cell_angle_gamma 90.00
_space_group_name_H-M_alt 'I m m m'
_space_group_IT_number 71
_space_group_name_Hall '-I 2 2'
loop_
_atom_site_label
_atom_site_type_symbol
_atom_site_fract_x
_atom_site_fract_y
_atom_site_fract_z
Tl1 Tl 0.000 0.000 0.000
In1 In 0.000 0.500 0.213
Pt1 Pt 0.000 0.000 0.500
```

Most intense lines, 10° ≤ 2θ ≤ 90°, by angle:
| 2θ (°) | I (rel.) | h k l |
| --- | --- | --- |
| 18.92 | 10 | 0 0 2 |
| 31.88 | 34 | 0 2 0 |
| 34.55 | 100 | 1 1 2 |
| 38.38 | 15 | 0 0 4 |
| 48.58 | 17 | 2 0 0 |
| 50.73 | 13 | 0 2 4 |
| 58.54 | 22 | 1 3 2 |
| 59.29 | 11 | 2 2 0 |
| 72.87 | 9 | 2 2 4 |
| 81.56 | 9 | 3 1 2 |

9.
This entry pairs a crystal structure of La2SmYTh with its computed X-ray diffraction stick pattern. Radiation: CuKα. Structure: a DFT-relaxed cell (GGA-PBE, Alexandria).
Neutral-atom scattering factors, no anomalous dispersion.

```
data_La2SmYTh
_chemical_formula_sum 'La4 Sm2 Y2 Th2'
_cell_length_a 6.366
_cell_length_b 5.902
_cell_length_c 9.794
_cell_angle_alpha 90.00
_cell_angle_beta 108.89
_cell_angle_gamma 90.00
_space_group_name_H-M_alt 'P 1 21/m 1'
_space_group_IT_number 11
loop_
_space_group_symop_operation_xyz
'x,y,z'
'-x,-y,-z'
'-x,y+1/2,-z'
'x,-y+1/2,z'
loop_
_atom_site_label
_atom_site_type_symbol
_atom_site_fract_x
_atom_site_fract_y
_atom_site_fract_z
La1 La 0.068 0.250 0.314
La2 La 0.139 0.750 0.109
Sm1 Sm 0.476 0.250 0.102
Y1 Y 0.264 0.250 0.694
Th1 Th 0.356 0.750 0.507
```

Most intense lines, 10° ≤ 2θ ≤ 90°, by angle:
| 2θ (°) | I (rel.) | h k l |
| --- | --- | --- |
| 27.85 | 27 | 1 0 2 |
| 30.29 | 40 | 0 2 0 |
| 31.78 | 100 | 1 1 -3 |
| 31.94 | 55 | 2 1 -1 |
| 41.61 | 18 | 1 2 2 |
| 49.49 | 19 | 3 0 -4 |
| 54.76 | 21 | 1 3 -3 |
| 58.84 | 13 | 0 2 5 |
| 59.13 | 22 | 3 2 -4 |
| 59.83 | 17 | 2 1 4 |

10.
This entry pairs a crystal structure of Y3Si3Ni with its computed X-ray diffraction stick pattern. Radiation: CuKα. Structure: a DFT-relaxed cell (GGA-PBE, Alexandria).
Neutral-atom scattering factors, no anomalous dispersion.

```
data_Y3Si3Ni
_chemical_formula_sum 'Y6 Si6 Ni2'
_cell_length_a 3.931
_cell_length_b 4.164
_cell_length_c 17.504
_cell_angle_alpha 90.00
_cell_angle_beta 90.00
_cell_angle_gamma 90.00
_space_group_name_H-M_alt 'I m m 2'
_space_group_IT_number 44
loop_
_space_group_symop_operation_xyz
'x,y,z'
'-x,-y,z'
'-x,y,z'
'x,-y,z'
'x+1/2,y+1/2,z+1/2'
'-x+1/2,-y+1/2,z+1/2'
'-x+1/2,y+1/2,z+1/2'
'x+1/2,-y+1/2,z+1/2'
loop_
_atom_site_label
_atom_site_type_symbol
_atom_site_fract_x
_atom_site_fract_y
_atom_site_fract_z
Y1 Y 0.000 0.000 0.000
Y2 Y 0.000 0.000 0.366
Y3 Y 0.000 0.500 0.686
Si1 Si 0.000 0.000 0.539
Si2 Si 0.000 0.000 0.823
Si3 Si 0.000 0.500 0.125
Ni1 Ni 0.000 0.500 0.252
```

Most intense lines, 10° ≤ 2θ ≤ 90°, by angle:
| 2θ (°) | I (rel.) | h k l |
| --- | --- | --- |
| 27.36 | 33 | 1 0 3 |
| 30.65 | 15 | 0 0 6 |
| 32.96 | 100 | 1 1 2 |
| 33.44 | 54 | 0 1 5 |
| 37.58 | 21 | 1 1 4 |
| 42.86 | 21 | 1 0 7 |
| 43.46 | 24 | 0 2 0 |
| 46.19 | 20 | 2 0 0 |
| 58.21 | 21 | 2 1 5 |
| 65.29 | 14 | 2 2 0 |

11.
This entry pairs a crystal structure of Ce7ReI12 with its computed X-ray diffraction stick pattern. Radiation: CuKα. Structure: a DFT-relaxed cell (GGA-PBE, Alexandria).
Neutral-atom scattering factors, no anomalous dispersion.

```
data_Ce7ReI12
_chemical_formula_sum 'Ce21 Re3 I36'
_cell_length_a 16.1801
_cell_length_b 16.1801
_cell_length_c 10.9364
_cell_angle_alpha 90.00
_cell_angle_beta 90.00
_cell_angle_gamma 120.00
_space_group_name_H-M_alt 'R -3'
_space_group_IT_number 148
_space_group_name_Hall '-R 3'
loop_
_atom_site_label
_atom_site_type_symbol
_atom_site_fract_x
_atom_site_fract_y
_atom_site_fract_z
Ce1 Ce 0.0000 0.0000 0.0000
Ce2 Ce 0.0434 0.1586 0.3521
Re1 Re 0.0000 0.0000 0.5000
I1 I 0.0219 0.5867 0.1620
I2 I 0.0511 0.1842 0.8373
```

Most intense lines, 10° ≤ 2θ ≤ 90°, by angle:
| 2θ (°) | I (rel.) | h k l |
| --- | --- | --- |
| 10.26 | 14 | 1 0 1 |
| 10.94 | 28 | 1 1 0 |
| 24.31 | 15 | 4 -3 1 |
| 28.17 | 100 | 3 1 2 |
| 40.19 | 36 | 2 5 0 |
| 40.33 | 37 | 4 -3 4 |
| 49.80 | 18 | 8 -6 2 |
| 65.84 | 14 | 10 -1 2 |
| 66.04 | 14 | 7 -2 6 |
| 73.10 | 15 | 11 -5 4 |

12.
This entry pairs a crystal structure of Pr3Sm4Zn4 with its computed X-ray diffraction stick pattern. Radiation: CuKα. Structure: a DFT-relaxed cell (GGA-PBE, Alexandria).
Neutral-atom scattering factors, no anomalous dispersion.

```
data_Pr3Sm4Zn4
_chemical_formula_sum 'Pr6 Sm8 Zn8'
_cell_length_a 4.878
_cell_length_b 7.993
_cell_length_c 15.989
_cell_angle_alpha 90.00
_cell_angle_beta 90.00
_cell_angle_gamma 90.00
_space_group_name_H-M_alt 'I m m m'
_space_group_IT_number 71
_space_group_name_Hall '-I 2 2'
loop_
_atom_site_label
_atom_site_type_symbol
_atom_site_fract_x
_atom_site_fract_y
_atom_site_fract_z
Pr1 Pr 0.000 0.000 0.000
Pr2 Pr 0.000 0.500 0.112
Sm1 Sm 0.000 0.291 0.331
Zn1 Zn 0.000 0.000 0.214
Zn2 Zn 0.000 0.163 0.500
```

Most intense lines, 10° ≤ 2θ ≤ 90°, by angle:
| 2θ (°) | I (rel.) | h k l |
| --- | --- | --- |
| 24.74 | 20 | 1 0 3 |
| 29.43 | 100 | 1 2 1 |
| 30.10 | 28 | 0 1 5 |
| 31.01 | 72 | 1 1 4 |
| 33.51 | 59 | 1 2 3 |
| 33.63 | 18 | 0 0 6 |
| 36.85 | 47 | 2 0 0 |
| 37.75 | 30 | 0 3 3 |
| 53.78 | 21 | 2 3 3 |
| 55.01 | 17 | 1 0 9 |

13.
This entry pairs a crystal structure of MgNpSi4 with its computed X-ray diffraction stick pattern. Radiation: CuKα. Structure: a DFT-relaxed cell (GGA-PBE, Alexandria).
Neutral-atom scattering factors, no anomalous dispersion.

```
data_MgNpSi4
_chemical_formula_sum 'Mg4 Np4 Si16'
_cell_length_a 7.345
_cell_length_b 7.345
_cell_length_c 7.345
_cell_angle_alpha 90.00
_cell_angle_beta 90.00
_cell_angle_gamma 90.00
_space_group_name_H-M_alt 'F -4 3 m'
_space_group_IT_number 216
_space_group_name_Hall 'F -4 2 3'
loop_
_atom_site_label
_atom_site_type_symbol
_atom_site_fract_x
_atom_site_fract_y
_atom_site_fract_z
Mg1 Mg 0.000 0.000 0.000
Np1 Np 0.250 0.250 0.750
Si1 Si 0.127 0.127 0.373
```

Most intense lines, 10° ≤ 2θ ≤ 90°, by angle:
| 2θ (°) | I (rel.) | h k l |
| --- | --- | --- |
| 20.95 | 80 | 1 1 1 |
| 24.23 | 53 | 2 0 0 |
| 34.54 | 66 | 2 2 0 |
| 40.74 | 100 | 3 1 1 |
| 42.64 | 21 | 2 2 2 |
| 54.45 | 22 | 3 3 1 |
| 55.99 | 22 | 4 2 0 |
| 61.88 | 25 | 4 2 2 |
| 66.10 | 33 | 5 1 1 |
| 72.84 | 16 | 4 4 0 |